Simulated PXRD pattern
Compound: HoPa2Se6
Radiation: Cu Kα (λ = 1.5418 Å)
Structure: a DFT-relaxed cell (GGA-PBE, Alexandria)

Structure:
```
HoPa2Se6
1.0
6.6749 0.0000 0.0000
0.0000 6.6749 0.0000
0.0000 0.0000 12.6609
Ho Pa Se
2 4 12
direct
0.0000 0.0000 0.0000
0.5000 0.5000 0.5000
0.0000 0.0000 0.3331
0.0000 0.0000 0.6669
0.5000 0.5000 0.1669
0.5000 0.5000 0.8331
0.1951 0.1951 0.5000
0.1990 0.1990 0.1684
0.1990 0.1990 0.8316
0.3010 0.6990 0.3316
0.3010 0.6990 0.6684
0.3049 0.6951 0.0000
0.6951 0.3049 0.0000
0.6990 0.3010 0.3316
0.6990 0.3010 0.6684
0.8010 0.8010 0.1684
0.8010 0.8010 0.8316
0.8049 0.8049 0.5000
```

Largest 10 diffraction maxima, by angle, 10 to 90 degrees two-theta:
2θ 18.80, I 100; 2θ 24.96, I 48; 2θ 28.37, I 32; 2θ 36.88, I 92; 2θ 38.13, I 32; 2θ 42.85, I 30; 2θ 46.12, I 46; 2θ 58.69, I 29; 2θ 74.57, I 24; 2θ 80.82, I 27

***

Simulated PXRD pattern
Compound: DyH5Pd4
Radiation: Cu Kα (λ = 1.5418 Å)
Structure: a DFT-relaxed cell (GGA-PBE, Alexandria)

Structure:
```
DyH5Pd4
1.0
5.5229 0.0000 0.0000
0.0000 7.9642 0.0000
0.0000 0.0000 5.0771
Dy H Pd
2 10 8
direct
0.2500 0.2500 0.1641
0.7500 0.7500 0.8359
0.0218 0.5761 0.1545
0.0218 0.9239 0.1545
0.2500 0.7500 0.6391
0.4782 0.5761 0.1545
0.4782 0.9239 0.1545
0.5218 0.0761 0.8455
0.5218 0.4239 0.8455
0.7500 0.2500 0.3609
0.9782 0.0761 0.8455
0.9782 0.4239 0.8455
0.0094 0.7500 0.3696
0.2500 0.5619 0.8666
0.2500 0.9381 0.8666
0.4906 0.7500 0.3696
0.5094 0.2500 0.6304
0.7500 0.0619 0.1334
0.7500 0.4381 0.1334
0.9906 0.2500 0.6304
```

Largest 10 diffraction maxima, by angle, 10 to 90 degrees two-theta:
2θ 22.33, I 40; 2θ 28.49, I 27; 2θ 32.86, I 83; 2θ 37.06, I 61; 2θ 37.17, I 83; 2θ 37.59, I 51; 2θ 38.81, I 100; 2θ 41.73, I 32; 2θ 45.44, I 40; 2θ 67.85, I 29

***

Simulated PXRD pattern
Compound: Ti4Mo3
Radiation: Cu Kα (λ = 1.5418 Å)
Structure: a DFT-relaxed cell (GGA-PBE, Alexandria)

Structure:
```
Ti4Mo3
1.0
5.0353 -1.5898 0.0000
5.0353 1.5898 0.0000
-1.1465 0.0000 7.1114
Ti Mo
4 3
direct
0.0000 0.0000 0.0000
0.1359 0.1359 0.4020
0.2732 0.2732 0.8340
0.5398 0.5398 0.6873
0.4130 0.4130 0.2678
0.7122 0.7122 0.1189
0.8457 0.8457 0.5475
```

Largest 10 diffraction maxima, by angle, 10 to 90 degrees two-theta:
2θ 12.45, I 12; 2θ 39.42, I 26; 2θ 39.98, I 100; 2θ 40.30, I 24; 2θ 57.80, I 8; 2θ 58.01, I 8; 2θ 71.77, I 8; 2θ 71.96, I 8; 2θ 72.41, I 8; 2θ 72.98, I 14

***

Simulated PXRD pattern
Compound: Ta4Sb
Radiation: Cu Kα (λ = 1.5418 Å)
Structure: a DFT-relaxed cell (GGA-PBE, Alexandria)

Structure:
```
Ta4Sb
1.0
-3.6689 3.6689 1.7540
3.6689 -3.6689 1.7540
3.6689 3.6689 -1.7540
Ta Sb
4 1
direct
0.1009 0.6906 0.7915
0.3094 0.1009 0.4104
0.6906 0.8991 0.5896
0.8991 0.3094 0.2085
0.5000 0.5000 0.0000
```

Largest 10 diffraction maxima, by angle, 10 to 90 degrees two-theta:
2θ 17.09, I 4; 2θ 37.53, I 100; 2θ 38.81, I 45; 2θ 52.15, I 10; 2θ 56.05, I 16; 2θ 66.87, I 18; 2θ 69.42, I 32; 2θ 80.09, I 11; 2θ 83.28, I 5; 2θ 88.84, I 9

***

Simulated PXRD pattern
Compound: Ti2Al2Ru3
Radiation: Cu Kα (λ = 1.5418 Å)
Structure: a DFT-relaxed cell (GGA-PBE, Alexandria)

Structure:
```
Ti2Al2Ru3
1.0
4.2680 0.0000 0.0000
-2.1323 3.7104 0.0000
-0.0124 -2.4334 6.4100
Ti Al Ru
2 2 3
direct
0.2153 0.4300 0.1461
0.7847 0.5700 0.8539
0.3638 0.7291 0.5900
0.6362 0.2709 0.4100
0.0738 0.1498 0.7191
0.5000 0.0000 0.0000
0.9262 0.8502 0.2809
```

Largest 10 diffraction maxima, by angle, 10 to 90 degrees two-theta:
2θ 13.82, I 21; 2θ 25.83, I 30; 2θ 40.85, I 100; 2θ 41.00, I 50; 2θ 42.23, I 96; 2θ 42.36, I 46; 2θ 60.00, I 15; 2θ 60.36, I 15; 2θ 60.47, I 15; 2θ 73.64, I 18

***

Simulated PXRD pattern
Compound: NiHgGe
Radiation: Cu Kα (λ = 1.5418 Å)
Structure: a DFT-relaxed cell (GGA-PBE, Alexandria)

Structure:
```
NiHgGe
1.0
3.0972 0.0000 0.0000
1.5472 4.0650 0.0000
0.2975 1.1292 8.8280
Ni Hg Ge
2 2 2
direct
0.1355 0.2417 0.4253
0.8645 0.7583 0.5747
0.1623 0.2184 0.1141
0.8377 0.7816 0.8859
0.4173 0.6934 0.3577
0.5827 0.3066 0.6423
```

Largest 10 diffraction maxima, by angle, 10 to 90 degrees two-theta:
2θ 25.42, I 33; 2θ 28.01, I 47; 2θ 30.97, I 24; 2θ 31.89, I 100; 2θ 32.42, I 51; 2θ 35.41, I 39; 2θ 40.89, I 35; 2θ 44.20, I 39; 2θ 44.96, I 32; 2θ 45.70, I 33